Computed powder diffraction line list of BeH5Pd4 for CuKα, from the PBE geometry in Alexandria.

Main lines, by angle (2θ = 10–80°):
h k l	Position (°2θ)	Rel. int.
0 2 1	32.4	100
2 0 1	38.3	85
2 2 0	38.8	64
0 0 2	45.6	16
0 4 0	47.2	19
2 2 2	61.3	23
2 4 1	62.3	24
4 0 0	63.9	8
0 4 2	67.7	12
4 2 1	73.5	18

Crystal structure
a = 5.8252 Å, b = 7.7007 Å, c = 3.9797 Å
α = 90.00°, β = 90.00°, γ = 90.00°
Fractional coordinates of all 20 atoms:
Be  0.2500  0.2500  0.0598
Be  0.7500  0.7500  0.9402
H  0.0386  0.0806  0.2346
H  0.0386  0.4194  0.2346
H  0.2500  0.7500  0.2137
H  0.4614  0.0806  0.2346
H  0.4614  0.4194  0.2346
H  0.5386  0.5806  0.7654
H  0.5386  0.9194  0.7654
H  0.7500  0.2500  0.7863
H  0.9614  0.5806  0.7654
H  0.9614  0.9194  0.7654
Pd  0.0160  0.2500  0.5450
Pd  0.2500  0.5381  0.9508
Pd  0.2500  0.9619  0.9508
Pd  0.4840  0.2500  0.5450
Pd  0.5160  0.7500  0.4550
Pd  0.7500  0.0381  0.0492
Pd  0.7500  0.4619  0.0492
Pd  0.9840  0.7500  0.4550